[1]
Starting from a GGA+U-relaxed structure, the X-ray powder pattern of LiVO3 was simulated for CuKα.
Lines closer than 0.1° are merged.

Largest 10 diffraction maxima, in order of rising 2θ, 15° ≤ 2θ ≤ 90°:
two_theta  I (rel.)  h k l
17.49  12  0 2 0
18.34  44  2 0 0
24.71  100  0 2 1
25.45  17  2 2 0
25.78  57  2 2 -1
26.73  15  3 1 -1
29.05  32  3 1 0
31.39  28  2 0 -2
47.81  17  5 1 0
64.77  12  5 3 1

Structure:
a = 10.813 Å, b = 10.139 Å, c = 5.724 Å
α = 90.00°, β = 116.51°, γ = 90.00°
Space group C2/c (No. 15)
One atom of each set of equivalent atoms:
Li1 0.000 0.163 0.250 [4 per cell]
Li2 0.000 0.198 0.750 [4 per cell]
V1 0.201 0.409 0.236 [8 per cell]
O1 0.119 0.264 0.118 [8 per cell]
O2 0.126 0.110 0.625 [8 per cell]
O3 0.150 0.472 0.476 [8 per cell]

=====

[2]
Starting from a GGA+U-relaxed structure, the X-ray powder pattern of Li2NbVO4 was simulated for CuKα.
Lines closer than 0.1° are merged.

Largest 10 diffraction maxima, in order of rising 2θ, 15° ≤ 2θ ≤ 90°:
two_theta  I (rel.)  h k l
17.42  100  0 1 1
18.28  23  1 0 1
34.48  14  0 1 3
35.22  50  2 1 1
37.05  14  2 0 2
41.89  57  2 2 0
42.24  27  0 0 4
46.58  12  2 1 3
61.00  32  2 2 4
78.95  10  4 0 4

Structure:
a = 5.890 Å, b = 6.334 Å, c = 8.559 Å
α = 90.00°, β = 90.00°, γ = 90.00°
Space group Imma (No. 74)
One atom of each set of equivalent atoms:
Li1 0.000 0.000 0.000 [4 per cell]
Li2 0.250 0.250 0.250 [4 per cell]
Nb1 0.250 0.250 0.750 [4 per cell]
V1 0.000 0.000 0.500 [4 per cell]
O1 0.000 0.002 0.249 [8 per cell]
O2 0.247 0.250 0.513 [8 per cell]

=====

[3]
Starting from a GGA+U-relaxed structure, the X-ray powder pattern of Li3FeF6 was simulated for CuKα.
Lines closer than 0.1° are merged.

Largest 10 diffraction maxima, in order of rising 2θ, 15° ≤ 2θ ≤ 90°:
two_theta  I (rel.)  h k l
19.88  100  1 1 1
20.33  29  4 0 0
21.39  41  2 0 -2
22.22  30  2 0 2
24.22  65  3 1 -1
32.40  29  5 1 1
39.11  40  0 0 4
39.31  42  4 2 0
40.63  27  7 1 -1
49.62  21  6 2 -2

Structure:
a = 17.492 Å, b = 5.384 Å, c = 9.223 Å
α = 90.00°, β = 92.60°, γ = 90.00°
Space group C2/c (No. 15)
One atom of each set of equivalent atoms:
Li1 0.082 0.250 0.448 [8 per cell]
Li2 0.112 0.220 0.109 [8 per cell]
Li3 0.175 0.285 0.823 [8 per cell]
Fe1 0.000 0.300 0.750 [4 per cell]
Fe2 0.250 0.250 0.500 [4 per cell]
F1 0.017 0.259 0.963 [8 per cell]
F2 0.076 0.429 0.264 [8 per cell]
F3 0.087 0.087 0.720 [8 per cell]
F4 0.166 0.493 0.514 [8 per cell]
F5 0.168 0.002 0.971 [8 per cell]
F6 0.244 0.323 0.295 [8 per cell]

=====

[4]
Starting from a GGA+U-relaxed structure, the X-ray powder pattern of BaCaZrWO6 was simulated for CuKα.
Lines closer than 0.1° are merged.

Largest 10 diffraction maxima, in order of rising 2θ, 15° ≤ 2θ ≤ 90°:
two_theta  I (rel.)  h k l
18.49  20  1 1 1
21.38  13  2 0 0
30.41  100  2 2 0
35.83  12  3 1 1
43.55  32  4 0 0
54.04  40  4 2 2
63.28  19  4 4 0
71.82  17  6 2 0
79.96  6  4 4 4
87.89  21  6 4 2

Structure:
a = 8.313 Å, b = 8.313 Å, c = 8.313 Å
α = 90.00°, β = 90.00°, γ = 90.00°
Space group F-43m (No. 216)
One atom of each set of equivalent atoms:
Ba1 0.000 0.000 0.000 [4 per cell]
Ca1 0.000 0.000 0.500 [4 per cell]
Zr1 0.250 0.250 0.250 [4 per cell]
W1 0.250 0.250 0.750 [4 per cell]
O1 0.003 0.250 0.750 [24 per cell]

=====

[5]
Starting from a GGA+U-relaxed structure, the X-ray powder pattern of MgNiP3O9 was simulated for CuKα.
Lines closer than 0.1° are merged.

Largest 10 diffraction maxima, in order of rising 2θ, 15° ≤ 2θ ≤ 90°:
two_theta  I (rel.)  h k l
15.96  100  1 0 1
17.41  73  1 1 0
23.70  16  0 2 1
29.56  28  2 1 1
30.39  17  3 0 0
32.24  37  2 0 2
38.90  14  1 3 1
44.89  13  4 -1 2
49.22  12  0 3 3
66.13  11  5 2 0

Structure:
a = 10.1890 Å, b = 10.1890 Å, c = 7.1467 Å
α = 90.00°, β = 90.00°, γ = 120.00°
Space group R3 (No. 146, hexagonal axes)
One atom of each set of equivalent atoms:
Mg1 0.0000 0.0000 0.0000 [3 per cell]
Ni1 0.0000 0.0000 0.4002 [3 per cell]
P1 0.1018 0.7631 0.2275 [9 per cell]
O1 0.0475 0.6968 0.4352 [9 per cell]
O2 0.0678 0.8901 0.1944 [9 per cell]
O3 0.2004 0.0736 0.5342 [9 per cell]

=====

[6]
Starting from a GGA+U-relaxed structure, the X-ray powder pattern of KCo2O4 was simulated for CuKα.
Lines closer than 0.1° are merged.

Largest 10 diffraction maxima, in order of rising 2θ, 15° ≤ 2θ ≤ 90°:
two_theta  I (rel.)  h k l
29.56  43  4 0 0
32.98  26  0 1 1
36.26  100  2 1 1
38.73  35  2 0 2
40.03  36  3 1 1
44.87  44  4 1 1
46.96  22  4 0 2
56.90  38  6 1 1
58.68  21  6 0 2
62.35  23  0 1 3

Structure:
a = 12.090 Å, b = 3.225 Å, c = 5.037 Å
α = 90.00°, β = 90.00°, γ = 90.00°
Space group Amm2 (No. 38)
One atom of each set of equivalent atoms:
K1 0.000 0.000 0.000 [2 per cell]
Co1 0.254 0.000 0.665 [4 per cell]
O1 0.161 0.000 0.357 [4 per cell]
O2 0.324 0.000 0.980 [4 per cell]

=====

[7]
Starting from a GGA+U-relaxed structure, the X-ray powder pattern of Li3Ni2C4O12 was simulated for CuKα.
Lines closer than 0.1° are merged.

Largest 10 diffraction maxima, in order of rising 2θ, 15° ≤ 2θ ≤ 90°:
two_theta  I (rel.)  h k l
18.68  100  1 -1 0
19.29  42  0 1 -1
19.43  45  0 1 1
21.91  46  1 0 -1
22.01  45  1 0 1
31.35  33  0 2 0
33.42  21  0 2 -1
33.58  20  0 2 1
36.29  24  -2 1 1
43.30  17  1 -3 0

Structure:
a = 5.229 Å, b = 6.270 Å, c = 7.708 Å
α = 90.27°, β = 90.24°, γ = 114.52°
Space group P1 (No. 1)
One atom of each set of equivalent atoms:
Li1 0.000 0.000 0.000 [1 per cell]
Li2 0.111 0.875 0.510 [1 per cell]
Li3 0.608 0.373 0.127 [1 per cell]
Ni1 0.300 0.683 0.070 [1 per cell]
Ni2 0.804 0.192 0.565 [1 per cell]
C1 0.043 0.568 0.807 [1 per cell]
C2 0.070 0.300 0.299 [1 per cell]
C3 0.532 0.059 0.829 [1 per cell]
C4 0.577 0.807 0.327 [1 per cell]
O1 0.173 0.254 0.437 [1 per cell]
O2 0.205 0.340 0.152 [1 per cell]
O3 0.296 0.586 0.832 [1 per cell]
O4 0.320 0.788 0.313 [1 per cell]
O5 0.401 0.025 0.977 [1 per cell]
O6 0.415 0.077 0.686 [1 per cell]
O7 0.679 0.765 0.182 [1 per cell]
O8 0.716 0.858 0.467 [1 per cell]
O9 0.791 0.086 0.821 [1 per cell]
O10 0.822 0.300 0.309 [1 per cell]
O11 0.925 0.600 0.948 [1 per cell]
O12 0.928 0.533 0.659 [1 per cell]

=====

[8]
Starting from a GGA+U-relaxed structure, the X-ray powder pattern of MnH4S2O10 was simulated for CuKα.
Lines closer than 0.1° are merged.

Largest 10 diffraction maxima, in order of rising 2θ, 15° ≤ 2θ ≤ 90°:
two_theta  I (rel.)  h k l
15.81  100  1 0 0
20.09  9  1 1 2
23.89  19  1 -1 0
25.57  30  0 1 -2
25.84  33  1 2 2
28.50  8  0 2 2
29.59  17  1 1 -2
32.25  12  2 2 2
35.42  9  1 1 4
36.97  7  0 1 4

Structure:
a = 6.231 Å, b = 7.580 Å, c = 10.224 Å
α = 70.40°, β = 73.08°, γ = 66.17°
Space group P-1 (No. 2)
One atom of each set of equivalent atoms:
Mn1 0.022 0.478 0.253 [2 per cell]
H1 0.241 0.188 0.861 [2 per cell]
H2 0.244 0.203 0.693 [2 per cell]
H3 0.264 0.101 0.299 [2 per cell]
H4 0.450 0.222 0.205 [2 per cell]
S1 0.091 0.741 0.414 [2 per cell]
S2 0.106 0.728 0.930 [2 per cell]
O1 0.144 0.151 0.039 [2 per cell]
O2 0.145 0.612 0.559 [2 per cell]
O3 0.155 0.628 0.813 [2 per cell]
O4 0.166 0.154 0.581 [2 per cell]
O5 0.180 0.559 0.060 [2 per cell]
O6 0.187 0.596 0.319 [2 per cell]
O7 0.237 0.867 0.364 [2 per cell]
O8 0.249 0.273 0.762 [2 per cell]
O9 0.276 0.834 0.885 [2 per cell]
O10 0.294 0.229 0.272 [2 per cell]

=====

[9]
Starting from a GGA+U-relaxed structure, the X-ray powder pattern of NaMgNiO2 was simulated for CuKα.
Lines closer than 0.1° are merged.

Largest 10 diffraction maxima, in order of rising 2θ, 15° ≤ 2θ ≤ 90°:
two_theta  I (rel.)  h k l
26.61  41  0 0 2
33.11  32  1 1 0
34.49  33  0 1 -1
36.87  27  1 0 -1
37.50  24  1 1 2
38.66  100  0 1 2
39.07  48  1 0 2
40.38  42  0 0 3
54.74  26  1 -1 0
58.26  20  2 1 1

Structure:
a = 3.168 Å, b = 3.346 Å, c = 6.893 Å
α = 79.29°, β = 77.70°, γ = 62.08°
Space group P1 (No. 1)
One atom of each set of equivalent atoms:
Na1 0.000 0.000 0.000 [1 per cell]
Mg1 0.195 0.269 0.360 [1 per cell]
Ni1 0.786 0.730 0.686 [1 per cell]
O1 0.453 0.336 0.739 [1 per cell]
O2 0.561 0.641 0.249 [1 per cell]